The following is a theoretical PXRD pattern of ScMnCrAg2. It was derived from a DFT-relaxed cell (PBE, Alexandria), using Cu Kα X-rays.

Structure:
```
data_ScMnCrAg2
_chemical_formula_sum 'Sc1 Mn1 Cr1 Ag2'
_space_group_name_H-M_alt 'P 1'
_space_group_IT_number 1
_cell_length_a 4.8501
_cell_length_b 4.8501
_cell_length_c 4.2814
_cell_angle_alpha 90.00
_cell_angle_beta 90.00
_cell_angle_gamma 90.00
loop_
_space_group_symop_operation_xyz
'x,y,z'
loop_
_atom_site_label
_atom_site_type_symbol
_atom_site_fract_x
_atom_site_fract_y
_atom_site_fract_z
_atom_site_occupancy
Sc1 Sc 0.0000 0.0000 0.0000 1
Mn1 Mn 0.0000 0.0000 0.5000 1
Cr1 Cr 0.5000 0.5000 0.0000 1
Ag1 Ag 0.0000 0.5000 0.5000 1
Ag2 Ag 0.5000 0.0000 0.5000 1
```

Most intense lines, 2θ from 10° to 80°, sorted by position:
h k l  2θ (°)  d/Å  intensity
0 0 1  20.75  4.281  38
1 1 1  33.48  2.677  100
2 0 0  37.07  2.425  76
0 0 2  42.22  2.141  26
2 0 1  42.86  2.110  23
2 2 0  53.43  1.715  24
2 0 2  57.42  1.605  39
3 1 1  64.54  1.444  27